For Eu2Ni7P4, a cell relaxed with PBE gives the computed powder XRD pattern in this record (Cu Kα (λ = 1.5418 Å)).
Lines closer than 0.1° are merged.

Main lines, low angle first (2θ from 10° to 90°):
- 2θ = 27.06°, I = 20
- 2θ = 30.18°, I = 19
- 2θ = 35.27°, I = 26
- 2θ = 36.51°, I = 100
- 2θ = 37.76°, I = 81
- 2θ = 40.34°, I = 30
- 2θ = 43.29°, I = 26
- 2θ = 47.10°, I = 35
- 2θ = 48.63°, I = 43
- 2θ = 70.02°, I = 20

Cell and atoms:
```
Eu2Ni7P4
1.0
3.744 0.000 0.000
0.000 9.263 0.000
0.000 0.000 10.469
Eu Ni P
4 14 8
direct
0.000 0.060 0.000
0.000 0.437 0.218
0.500 0.563 0.718
0.500 0.940 0.500
0.000 0.059 0.699
0.000 0.098 0.300
0.000 0.306 0.792
0.000 0.416 0.524
0.000 0.682 0.479
0.000 0.729 0.889
0.000 0.747 0.122
0.500 0.253 0.622
0.500 0.271 0.389
0.500 0.318 0.979
0.500 0.584 0.024
0.500 0.694 0.292
0.500 0.902 0.800
0.500 0.941 0.199
0.000 0.181 0.506
0.000 0.478 0.936
0.000 0.813 0.685
0.000 0.843 0.310
0.500 0.157 0.810
0.500 0.187 0.185
0.500 0.522 0.436
0.500 0.819 0.006
```